MnPdBr5: theoretical powder X-ray diffraction pattern (Cu Kα (λ = 1.5418 Å)), based on a GGA-PBE-relaxed structure.
Peak positions follow from Bragg's law for the DFT cell and can differ from measured ones.

Principal peaks in the range 2θ from 10° to 80°, in order of falling intensity:
- 2θ 25.25, intensity 100
- 2θ 18.30, intensity 60
- 2θ 31.99, intensity 42
- 2θ 14.73, intensity 40
- 2θ 12.25, intensity 33
- 2θ 30.95, intensity 31
- 2θ 11.76, intensity 29
- 2θ 36.21, intensity 29
- 2θ 40.92, intensity 28
- 2θ 25.95, intensity 24

Atomic structure:
```
data_MnPdBr5
_chemical_formula_sum 'Mn2 Pd2 Br10'
_cell_length_a 7.4670
_cell_length_b 8.1595
_cell_length_c 8.5216
_cell_angle_alpha 114.24
_cell_angle_beta 102.39
_cell_angle_gamma 91.75
_space_group_name_H-M_alt 'P 1'
_space_group_IT_number 1
loop_
_space_group_symop_operation_xyz
'x,y,z'
loop_
_atom_site_label
_atom_site_type_symbol
_atom_site_fract_x
_atom_site_fract_y
_atom_site_fract_z
Mn1 Mn 0.0000 0.0000 0.0000
Mn2 Mn 0.5000 0.5000 0.5000
Pd1 Pd 0.1196 0.8430 0.3492
Pd2 Pd 0.8804 0.1570 0.6508
Br1 Br 0.0797 0.7185 0.0251
Br2 Br 0.1580 0.9985 0.6750
Br3 Br 0.2392 0.5177 0.6155
Br4 Br 0.3075 0.1495 0.1663
Br5 Br 0.4128 0.7114 0.3609
Br6 Br 0.5872 0.2886 0.6391
Br7 Br 0.6925 0.8505 0.8337
Br8 Br 0.7608 0.4823 0.3845
Br9 Br 0.8420 0.0015 0.3250
Br10 Br 0.9203 0.2815 0.9749
```

=====

MnPtBr4: theoretical powder X-ray diffraction pattern (Cu Kα (λ = 1.5418 Å)), based on a GGA-PBE-relaxed structure.
Peak positions follow from Bragg's law for the DFT cell and can differ from measured ones.

Principal peaks in the range 2θ from 10° to 80°, in order of falling intensity:
- 2θ 34.85, intensity 100
- 2θ 29.59, intensity 38
- 2θ 55.96, intensity 34
- 2θ 36.46, intensity 30
- 2θ 61.43, intensity 25
- 2θ 52.51, intensity 15
- 2θ 20.81, intensity 13
- 2θ 18.00, intensity 12
- 2θ 72.61, intensity 12
- 2θ 73.59, intensity 11

Atomic structure:
```
data_MnPtBr4
_chemical_formula_sum 'Mn1 Pt1 Br4'
_cell_length_a 6.0370
_cell_length_b 6.0370
_cell_length_c 6.0370
_cell_angle_alpha 60.00
_cell_angle_beta 60.00
_cell_angle_gamma 60.00
_space_group_name_H-M_alt 'P 1'
_space_group_IT_number 1
loop_
_space_group_symop_operation_xyz
'x,y,z'
loop_
_atom_site_label
_atom_site_type_symbol
_atom_site_fract_x
_atom_site_fract_y
_atom_site_fract_z
Mn1 Mn 0.0000 0.0000 0.0000
Pt1 Pt 0.7500 0.7500 0.7500
Br1 Br 0.3755 0.3755 0.3755
Br2 Br 0.3755 0.3755 0.8736
Br3 Br 0.3755 0.8736 0.3755
Br4 Br 0.8736 0.3755 0.3755
```

=====

Please write out number 2 again, unchanged.
MnPtBr4: theoretical powder X-ray diffraction pattern (Cu Kα (λ = 1.5418 Å)), based on a GGA-PBE-relaxed structure.
Peak positions follow from Bragg's law for the DFT cell and can differ from measured ones.

Principal peaks in the range 2θ from 10° to 80°, in order of falling intensity:
- 2θ 34.85, intensity 100
- 2θ 29.59, intensity 38
- 2θ 55.96, intensity 34
- 2θ 36.46, intensity 30
- 2θ 61.43, intensity 25
- 2θ 52.51, intensity 15
- 2θ 20.81, intensity 13
- 2θ 18.00, intensity 12
- 2θ 72.61, intensity 12
- 2θ 73.59, intensity 11

Atomic structure:
```
data_MnPtBr4
_chemical_formula_sum 'Mn1 Pt1 Br4'
_cell_length_a 6.0370
_cell_length_b 6.0370
_cell_length_c 6.0370
_cell_angle_alpha 60.00
_cell_angle_beta 60.00
_cell_angle_gamma 60.00
_space_group_name_H-M_alt 'P 1'
_space_group_IT_number 1
loop_
_space_group_symop_operation_xyz
'x,y,z'
loop_
_atom_site_label
_atom_site_type_symbol
_atom_site_fract_x
_atom_site_fract_y
_atom_site_fract_z
Mn1 Mn 0.0000 0.0000 0.0000
Pt1 Pt 0.7500 0.7500 0.7500
Br1 Br 0.3755 0.3755 0.3755
Br2 Br 0.3755 0.3755 0.8736
Br3 Br 0.3755 0.8736 0.3755
Br4 Br 0.8736 0.3755 0.3755
```